Starting from a DFT-relaxed cell (GGA-PBE, Alexandria), the X-ray powder pattern of La6Nd2YTm was calculated for a wavelength of 1.5418 Å.
Peak positions follow from Bragg's law for the DFT cell and can differ from measured ones.

Most intense lines, 5° ≤ 2θ ≤ 70°, in order of rising 2θ:
| two_theta | Rel. int. |
| --- | --- |
| 27.2 | 26 |
| 27.6 | 52 |
| 28.4 | 41 |
| 29.1 | 47 |
| 29.2 | 53 |
| 29.5 | 56 |
| 29.7 | 41 |
| 30.8 | 57 |
| 31.0 | 100 |
| 31.2 | 42 |
| 31.9 | 46 |
| 33.3 | 30 |

Atomic structure:
```
data_La6Nd2YTm
_space_group_name_H-M_alt 'P 1'
_space_group_IT_number 1
_cell_length_a 9.1370
_cell_length_b 9.1370
_cell_length_c 9.3323
_cell_angle_alpha 91.03
_cell_angle_beta 91.03
_cell_angle_gamma 114.62
loop_
_space_group_symop_operation_xyz
'x,y,z'
loop_
_atom_site_label
_atom_site_type_symbol
_atom_site_fract_x
_atom_site_fract_y
_atom_site_fract_z
La1 La 0.0388 0.4769 0.6805
La2 La 0.0677 0.7832 0.9007
La3 La 0.2168 0.9323 0.5993
La4 La 0.2733 0.5771 0.0870
La5 La 0.4229 0.7267 0.4130
La6 La 0.4769 0.0388 0.1805
La7 La 0.5231 0.9612 0.8195
La8 La 0.5771 0.2733 0.5870
La9 La 0.7267 0.4229 0.9130
La10 La 0.7832 0.0677 0.4007
La11 La 0.9323 0.2168 0.0993
La12 La 0.9612 0.5231 0.3195
Nd1 Nd 0.2079 0.2969 0.4384
Nd2 Nd 0.2969 0.2079 0.9384
Nd3 Nd 0.7031 0.7921 0.0616
Nd4 Nd 0.7921 0.7031 0.5616
Y1 Y 0.0746 0.9254 0.2500
Y2 Y 0.9254 0.0746 0.7500
Tm1 Tm 0.4389 0.5611 0.7500
Tm2 Tm 0.5611 0.4389 0.2500
```



Starting from a DFT-relaxed cell (GGA-PBE, Alexandria), the X-ray powder pattern of Li5Bi2P5O18 was calculated for a wavelength of 1.5418 Å.
Peak positions follow from Bragg's law for the DFT cell and can differ from measured ones.

Most intense lines, 5° ≤ 2θ ≤ 70°, in order of rising 2θ:
| two_theta | Rel. int. |
| --- | --- |
| 11.4 | 100 |
| 15.4 | 30 |
| 18.1 | 59 |
| 18.9 | 40 |
| 19.4 | 70 |
| 20.5 | 35 |
| 24.6 | 41 |
| 26.3 | 91 |
| 27.0 | 44 |
| 27.5 | 39 |
| 28.9 | 45 |
| 41.5 | 38 |

Atomic structure:
```
data_Li5Bi2P5O18
_space_group_name_H-M_alt 'P 1'
_space_group_IT_number 1
_cell_length_a 6.7989
_cell_length_b 9.5669
_cell_length_c 11.2037
_cell_angle_alpha 97.54
_cell_angle_beta 90.84
_cell_angle_gamma 92.18
loop_
_space_group_symop_operation_xyz
'x,y,z'
loop_
_atom_site_label
_atom_site_type_symbol
_atom_site_fract_x
_atom_site_fract_y
_atom_site_fract_z
Li1 Li 0.0029 0.0378 0.3639
Li2 Li 0.1265 0.2235 0.1597
Li3 Li 0.1719 0.8894 0.1447
Li4 Li 0.3329 0.3764 0.3472
Li5 Li 0.3990 0.7256 0.9050
Li6 Li 0.6010 0.2744 0.0950
Li7 Li 0.6671 0.6236 0.6528
Li8 Li 0.8281 0.1106 0.8553
Li9 Li 0.8735 0.7765 0.8403
Li10 Li 0.9971 0.9622 0.6361
Bi1 Bi 0.2317 0.3643 0.8912
Bi2 Bi 0.3432 0.7636 0.4390
Bi3 Bi 0.6568 0.2364 0.5610
Bi4 Bi 0.7683 0.6357 0.1088
P1 P 0.1460 0.5782 0.6657
P2 P 0.1739 0.2674 0.5884
P3 P 0.2207 0.0061 0.9023
P4 P 0.2674 0.5802 0.1534
P5 P 0.4788 0.0685 0.2826
P6 P 0.5212 0.9315 0.7174
P7 P 0.7326 0.4198 0.8466
P8 P 0.7793 0.9939 0.0977
P9 P 0.8261 0.7326 0.4116
P10 P 0.8540 0.4218 0.3343
O1 O 0.0074 0.1600 0.5395
O2 O 0.0336 0.3334 0.3248
O3 O 0.0441 0.9732 0.8149
O4 O 0.0639 0.4149 0.6168
O5 O 0.1059 0.6921 0.1642
O6 O 0.1781 0.4332 0.0979
O7 O 0.2082 0.1540 0.9778
O8 O 0.2509 0.5736 0.7880
O9 O 0.2540 0.8887 0.9783
O10 O 0.2698 0.2319 0.7046
O11 O 0.2962 0.6077 0.5690
O12 O 0.3005 0.9752 0.3117
O13 O 0.3387 0.2831 0.4976
O14 O 0.3567 0.5662 0.2793
O15 O 0.3635 0.9145 0.6150
O16 O 0.4190 0.2041 0.2348
O17 O 0.4200 0.0269 0.8276
O18 O 0.4260 0.6309 0.0666
O19 O 0.5740 0.3691 0.9334
O20 O 0.5800 0.9731 0.1724
O21 O 0.5810 0.7959 0.7652
O22 O 0.6365 0.0855 0.3850
O23 O 0.6433 0.4338 0.7207
O24 O 0.6613 0.7169 0.5024
O25 O 0.6995 0.0248 0.6883
O26 O 0.7038 0.3923 0.4310
O27 O 0.7302 0.7681 0.2954
O28 O 0.7460 0.1113 0.0217
O29 O 0.7491 0.4264 0.2120
O30 O 0.7918 0.8460 0.0222
O31 O 0.8219 0.5668 0.9022
O32 O 0.8941 0.3079 0.8358
O33 O 0.9361 0.5851 0.3832
O34 O 0.9559 0.0268 0.1851
O35 O 0.9664 0.6666 0.6752
O36 O 0.9926 0.8400 0.4605
```



Starting from a DFT-relaxed cell (GGA-PBE, Alexandria), the X-ray powder pattern of Pm2AlH8 was calculated for a wavelength of 1.5418 Å.
Peak positions follow from Bragg's law for the DFT cell and can differ from measured ones.

Most intense lines, 5° ≤ 2θ ≤ 70°, in order of rising 2θ:
| two_theta | Rel. int. |
| --- | --- |
| 20.9 | 54 |
| 24.6 | 38 |
| 28.4 | 28 |
| 29.0 | 100 |
| 30.9 | 93 |
| 31.9 | 74 |
| 39.8 | 23 |
| 42.4 | 42 |
| 51.9 | 40 |
| 54.0 | 23 |
| 57.3 | 27 |
| 66.8 | 16 |

Atomic structure:
```
data_Pm2AlH8
_space_group_name_H-M_alt 'P 1'
_space_group_IT_number 1
_cell_length_a 6.9389
_cell_length_b 6.9389
_cell_length_c 4.5248
_cell_angle_alpha 108.99
_cell_angle_beta 108.99
_cell_angle_gamma 31.53
loop_
_space_group_symop_operation_xyz
'x,y,z'
loop_
_atom_site_label
_atom_site_type_symbol
_atom_site_fract_x
_atom_site_fract_y
_atom_site_fract_z
Pm1 Pm 0.1476 0.1476 0.1488
Pm2 Pm 0.8524 0.8524 0.8512
Al1 Al 0.4116 0.5884 0.5000
H1 H 0.0144 0.9851 0.2603
H2 H 0.0149 0.9856 0.7397
H3 H 0.2297 0.2336 0.7319
H4 H 0.3962 0.3959 0.6399
H5 H 0.3970 0.3957 0.1507
H6 H 0.6043 0.6030 0.8493
H7 H 0.6041 0.6038 0.3601
H8 H 0.7664 0.7703 0.2681
```



Starting from a DFT-relaxed cell (GGA-PBE, Alexandria), the X-ray powder pattern of KSr2F6 was calculated for a wavelength of 1.5418 Å.
Peak positions follow from Bragg's law for the DFT cell and can differ from measured ones.

Most intense lines, 5° ≤ 2θ ≤ 70°, in order of rising 2θ:
| two_theta | Rel. int. |
| --- | --- |
| 13.4 | 17 |
| 16.9 | 16 |
| 25.5 | 91 |
| 26.1 | 97 |
| 40.9 | 30 |
| 42.5 | 28 |
| 43.3 | 100 |
| 49.2 | 32 |
| 50.2 | 27 |
| 52.4 | 18 |
| 60.4 | 17 |
| 69.7 | 17 |

Atomic structure:
```
data_KSr2F6
_space_group_name_H-M_alt 'P 1'
_space_group_IT_number 1
_cell_length_a 7.5195
_cell_length_b 7.5195
_cell_length_c 7.5195
_cell_angle_alpha 147.16
_cell_angle_beta 135.42
_cell_angle_gamma 56.47
loop_
_space_group_symop_operation_xyz
'x,y,z'
loop_
_atom_site_label
_atom_site_type_symbol
_atom_site_fract_x
_atom_site_fract_y
_atom_site_fract_z
K1 K 0.0000 0.0000 0.0000
Sr1 Sr 0.3290 0.3290 0.0000
Sr2 Sr 0.6710 0.6710 0.0000
F1 F 0.0828 0.8248 0.2580
F2 F 0.2924 0.5000 0.7924
F3 F 0.4331 0.1752 0.2580
F4 F 0.5669 0.8248 0.7420
F5 F 0.7076 0.5000 0.2076
F6 F 0.9172 0.1752 0.7420
```



Starting from a DFT-relaxed cell (GGA-PBE, Alexandria), the X-ray powder pattern of BaFe3Cl12 was calculated for a wavelength of 1.5418 Å.
Peak positions follow from Bragg's law for the DFT cell and can differ from measured ones.

Most intense lines, 5° ≤ 2θ ≤ 70°, in order of rising 2θ:
| two_theta | Rel. int. |
| --- | --- |
| 10.5 | 100 |
| 13.7 | 23 |
| 15.3 | 25 |
| 17.7 | 52 |
| 21.1 | 14 |
| 22.2 | 33 |
| 27.7 | 19 |
| 27.8 | 20 |
| 31.9 | 16 |
| 32.1 | 33 |
| 34.0 | 15 |
| 42.3 | 15 |

Atomic structure:
```
data_BaFe3Cl12
_space_group_name_H-M_alt 'P 1'
_space_group_IT_number 1
_cell_length_a 13.2293
_cell_length_b 13.2293
_cell_length_c 13.2293
_cell_angle_alpha 49.67
_cell_angle_beta 49.67
_cell_angle_gamma 49.67
loop_
_space_group_symop_operation_xyz
'x,y,z'
loop_
_atom_site_label
_atom_site_type_symbol
_atom_site_fract_x
_atom_site_fract_y
_atom_site_fract_z
Ba1 Ba 0.0000 0.0000 0.0000
Ba2 Ba 0.5000 0.5000 0.5000
Fe1 Fe 0.1373 0.7862 0.4077
Fe2 Fe 0.2862 0.6373 0.9077
Fe3 Fe 0.4077 0.1373 0.7862
Fe4 Fe 0.6373 0.9077 0.2862
Fe5 Fe 0.7862 0.4077 0.1373
Fe6 Fe 0.9077 0.2862 0.6373
Cl1 Cl 0.0483 0.0545 0.6971
Cl2 Cl 0.0545 0.6971 0.0483
Cl3 Cl 0.1608 0.8086 0.2140
Cl4 Cl 0.1971 0.5545 0.5483
Cl5 Cl 0.2140 0.1608 0.8086
Cl6 Cl 0.2945 0.8371 0.3629
Cl7 Cl 0.3086 0.6608 0.7140
Cl8 Cl 0.3371 0.7945 0.8629
Cl9 Cl 0.3629 0.2945 0.8371
Cl10 Cl 0.4265 0.9985 0.4286
Cl11 Cl 0.4286 0.4265 0.9985
Cl12 Cl 0.4985 0.9265 0.9286
Cl13 Cl 0.5483 0.1971 0.5545
Cl14 Cl 0.5545 0.5483 0.1971
Cl15 Cl 0.6608 0.7140 0.3086
Cl16 Cl 0.6971 0.0483 0.0545
Cl17 Cl 0.7140 0.3086 0.6608
Cl18 Cl 0.7945 0.8629 0.3371
Cl19 Cl 0.8086 0.2140 0.1608
Cl20 Cl 0.8371 0.3629 0.2945
Cl21 Cl 0.8629 0.3371 0.7945
Cl22 Cl 0.9265 0.9286 0.4985
Cl23 Cl 0.9286 0.4985 0.9265
Cl24 Cl 0.9985 0.4286 0.4265
```



Starting from a DFT-relaxed cell (GGA-PBE, Alexandria), the X-ray powder pattern of AlCu4Si was calculated for a wavelength of 1.5418 Å.
Peak positions follow from Bragg's law for the DFT cell and can differ from measured ones.

Most intense lines, 5° ≤ 2θ ≤ 70°, in order of rising 2θ:
| two_theta | Rel. int. |
| --- | --- |
| 12.5 | 23 |
| 22.2 | 21 |
| 35.9 | 27 |
| 42.3 | 33 |
| 42.5 | 98 |
| 43.9 | 38 |
| 44.6 | 100 |
| 45.2 | 54 |
| 48.3 | 36 |
| 49.9 | 23 |
| 62.9 | 13 |
| 63.7 | 19 |

Atomic structure:
```
data_AlCu4Si
_space_group_name_H-M_alt 'P 1'
_space_group_IT_number 1
_cell_length_a 8.0217
_cell_length_b 2.6791
_cell_length_c 7.0790
_cell_angle_alpha 90.00
_cell_angle_beta 90.00
_cell_angle_gamma 90.00
loop_
_space_group_symop_operation_xyz
'x,y,z'
loop_
_atom_site_label
_atom_site_type_symbol
_atom_site_fract_x
_atom_site_fract_y
_atom_site_fract_z
Al1 Al 0.2500 0.0000 0.0574
Al2 Al 0.7500 0.0000 0.9426
Cu1 Cu 0.0000 0.0000 0.5000
Cu2 Cu 0.0228 0.5000 0.8254
Cu3 Cu 0.2500 0.5000 0.3716
Cu4 Cu 0.4772 0.5000 0.8254
Cu5 Cu 0.5000 0.0000 0.5000
Cu6 Cu 0.5228 0.5000 0.1746
Cu7 Cu 0.7500 0.5000 0.6284
Cu8 Cu 0.9772 0.5000 0.1746
Si1 Si 0.2500 0.0000 0.6783
Si2 Si 0.7500 0.0000 0.3217
```



Starting from a DFT-relaxed cell (GGA-PBE, Alexandria), the X-ray powder pattern of Cs2Ge2Cl5 was calculated for a wavelength of 1.5418 Å.
Peak positions follow from Bragg's law for the DFT cell and can differ from measured ones.

Most intense lines, 5° ≤ 2θ ≤ 70°, in order of rising 2θ:
| two_theta | Rel. int. |
| --- | --- |
| 21.8 | 28 |
| 22.2 | 27 |
| 25.2 | 100 |
| 29.5 | 24 |
| 29.9 | 32 |
| 31.3 | 72 |
| 40.1 | 11 |
| 40.3 | 25 |
| 40.9 | 24 |
| 44.3 | 12 |
| 51.7 | 19 |
| 52.1 | 18 |

Atomic structure:
```
data_Cs2Ge2Cl5
_space_group_name_H-M_alt 'P 1'
_space_group_IT_number 1
_cell_length_a 8.9934
_cell_length_b 5.7174
_cell_length_c 5.7174
_cell_angle_alpha 91.23
_cell_angle_beta 90.00
_cell_angle_gamma 90.00
loop_
_space_group_symop_operation_xyz
'x,y,z'
loop_
_atom_site_label
_atom_site_type_symbol
_atom_site_fract_x
_atom_site_fract_y
_atom_site_fract_z
Cs1 Cs 0.0000 0.0000 0.0000
Cs2 Cs 0.5000 0.0076 0.0076
Ge1 Ge 0.1985 0.4923 0.4923
Ge2 Ge 0.8015 0.4923 0.4923
Cl1 Cl 0.2246 0.0744 0.5050
Cl2 Cl 0.2246 0.5050 0.0744
Cl3 Cl 0.5000 0.5401 0.5401
Cl4 Cl 0.7754 0.0744 0.5050
Cl5 Cl 0.7754 0.5050 0.0744
```



Starting from a DFT-relaxed cell (GGA-PBE, Alexandria), the X-ray powder pattern of PrSm6Y6 was calculated for a wavelength of 1.5418 Å.
Peak positions follow from Bragg's law for the DFT cell and can differ from measured ones.

Most intense lines, 5° ≤ 2θ ≤ 70°, in order of rising 2θ:
| two_theta | Rel. int. |
| --- | --- |
| 24.8 | 51 |
| 26.7 | 32 |
| 28.9 | 100 |
| 29.5 | 37 |
| 29.7 | 56 |
| 31.6 | 38 |
| 32.4 | 29 |
| 33.7 | 91 |
| 34.9 | 35 |
| 36.3 | 29 |
| 38.4 | 41 |
| 41.4 | 36 |

Atomic structure:
```
data_PrSm6Y6
_space_group_name_H-M_alt 'P 1'
_space_group_IT_number 1
_cell_length_a 6.7027
_cell_length_b 6.7027
_cell_length_c 11.0606
_cell_angle_alpha 90.00
_cell_angle_beta 90.00
_cell_angle_gamma 115.20
loop_
_space_group_symop_operation_xyz
'x,y,z'
loop_
_atom_site_label
_atom_site_type_symbol
_atom_site_fract_x
_atom_site_fract_y
_atom_site_fract_z
Pr1 Pr 0.0000 0.0000 0.0000
Sm1 Sm 0.0000 0.0000 0.3292
Sm2 Sm 0.0000 0.0000 0.6708
Sm3 Sm 0.2517 0.7483 0.5000
Sm4 Sm 0.3605 0.6395 0.0000
Sm5 Sm 0.6395 0.3605 0.0000
Sm6 Sm 0.7483 0.2517 0.5000
Y1 Y 0.0000 0.5000 0.2236
Y2 Y 0.0000 0.5000 0.7764
Y3 Y 0.5000 0.0000 0.2236
Y4 Y 0.5000 0.0000 0.7764
Y5 Y 0.5000 0.5000 0.3114
Y6 Y 0.5000 0.5000 0.6886
```



Starting from a DFT-relaxed cell (GGA-PBE, Alexandria), the X-ray powder pattern of HgBH6F was calculated for a wavelength of 1.5418 Å.
Peak positions follow from Bragg's law for the DFT cell and can differ from measured ones.

Most intense lines, 5° ≤ 2θ ≤ 70°, in order of rising 2θ:
| two_theta | Rel. int. |
| --- | --- |
| 14.3 | 73 |
| 15.3 | 100 |
| 19.3 | 55 |
| 22.5 | 76 |
| 25.6 | 37 |
| 25.8 | 26 |
| 27.4 | 32 |
| 27.8 | 34 |
| 28.7 | 27 |
| 28.8 | 30 |
| 30.6 | 23 |
| 32.1 | 35 |

Atomic structure:
```
data_HgBH6F
_space_group_name_H-M_alt 'P 1'
_space_group_IT_number 1
_cell_length_a 4.0088
_cell_length_b 5.9073
_cell_length_c 6.3030
_cell_angle_alpha 80.75
_cell_angle_beta 83.95
_cell_angle_gamma 82.67
loop_
_space_group_symop_operation_xyz
'x,y,z'
loop_
_atom_site_label
_atom_site_type_symbol
_atom_site_fract_x
_atom_site_fract_y
_atom_site_fract_z
Hg1 Hg 0.0000 0.0000 0.0000
B1 B 0.3791 0.4220 0.4475
H1 H 0.2184 0.4782 0.6064
H2 H 0.2300 0.3183 0.3441
H3 H 0.5470 0.2081 0.4821
H4 H 0.5467 0.5551 0.3288
H5 H 0.5503 0.7350 0.4928
H6 H 0.6364 0.2968 0.5488
F1 F 0.6223 0.8603 0.5499
```



Starting from a DFT-relaxed cell (GGA-PBE, Alexandria), the X-ray powder pattern of Cs3B6H12Se4Br was calculated for a wavelength of 1.5418 Å.
Peak positions follow from Bragg's law for the DFT cell and can differ from measured ones.

Most intense lines, 5° ≤ 2θ ≤ 70°, in order of rising 2θ:
| two_theta | Rel. int. |
| --- | --- |
| 18.7 | 42 |
| 21.2 | 100 |
| 25.8 | 61 |
| 26.8 | 52 |
| 27.4 | 50 |
| 30.0 | 49 |
| 31.5 | 32 |
| 32.7 | 50 |
| 34.8 | 45 |
| 35.6 | 66 |
| 39.4 | 38 |
| 52.1 | 49 |

Atomic structure:
```
data_Cs3B6H12Se4Br
_space_group_name_H-M_alt 'P 1'
_space_group_IT_number 1
_cell_length_a 10.9397
_cell_length_b 10.9397
_cell_length_c 8.9334
_cell_angle_alpha 90.00
_cell_angle_beta 90.00
_cell_angle_gamma 120.00
loop_
_space_group_symop_operation_xyz
'x,y,z'
loop_
_atom_site_label
_atom_site_type_symbol
_atom_site_fract_x
_atom_site_fract_y
_atom_site_fract_z
Cs1 Cs 0.1541 0.3082 0.0000
Cs2 Cs 0.1541 0.8459 0.0000
Cs3 Cs 0.3082 0.1541 0.5000
Cs4 Cs 0.6918 0.8459 0.0000
Cs5 Cs 0.8459 0.1541 0.5000
Cs6 Cs 0.8459 0.6918 0.5000
B1 B 0.1308 0.5654 0.3310
B2 B 0.2327 0.4654 0.6344
B3 B 0.2327 0.7673 0.6344
B4 B 0.4346 0.5654 0.3310
B5 B 0.4346 0.8692 0.3310
B6 B 0.4654 0.2327 0.1344
B7 B 0.5346 0.7673 0.6344
B8 B 0.5654 0.1308 0.8310
B9 B 0.5654 0.4346 0.8310
B10 B 0.7673 0.2327 0.1344
B11 B 0.7673 0.5346 0.1344
B12 B 0.8692 0.4346 0.8310
H1 H 0.0124 0.5062 0.3820
H2 H 0.1111 0.4087 0.6763
H3 H 0.1111 0.7024 0.6763
H4 H 0.1365 0.5683 0.1953
H5 H 0.2976 0.4087 0.6763
H6 H 0.2976 0.8889 0.6763
H7 H 0.4087 0.1111 0.1763
H8 H 0.4087 0.2976 0.1763
H9 H 0.4317 0.5683 0.1953
H10 H 0.4317 0.8635 0.1953
H11 H 0.4938 0.5062 0.3820
H12 H 0.4938 0.9876 0.3820
H13 H 0.5062 0.0124 0.8820
H14 H 0.5062 0.4938 0.8820
H15 H 0.5683 0.1365 0.6953
H16 H 0.5683 0.4317 0.6953
H17 H 0.5913 0.7024 0.6763
H18 H 0.5913 0.8889 0.6763
H19 H 0.7024 0.1111 0.1763
H20 H 0.7024 0.5913 0.1763
H21 H 0.8635 0.4317 0.6953
H22 H 0.8889 0.2976 0.1763
H23 H 0.8889 0.5913 0.1763
H24 H 0.9876 0.4938 0.8820
Se1 Se 0.2275 0.4550 0.4036
Se2 Se 0.2275 0.7725 0.4036
Se3 Se 0.3333 0.6667 0.7253
Se4 Se 0.4550 0.2275 0.9036
Se5 Se 0.5450 0.7725 0.4036
Se6 Se 0.6667 0.3333 0.2253
Se7 Se 0.7725 0.2275 0.9036
Se8 Se 0.7725 0.5450 0.9036
Br1 Br 0.0000 0.0000 0.2481
Br2 Br 0.0000 0.0000 0.7481
```